Starting from a DFT-relaxed cell (PBE+U, OQMD), the powder XRD pattern of CoH12Br2O14 was simulated for CuKα.
Kinematic intensities with the Lorentz-polarization factor, no thermal factor.

```
29
Lattice="6.6580 -3.8514 0.0000 6.6580 3.8514 0.0000 -0.0305 0.0000 5.2610" Properties=species:S:1:pos:R:3 pbc="T T T"
Co 0.0000 0.0000 0.0000
H 2.2706 0.7922 1.2001
H 4.8300 2.2755 1.1936
H 6.2031 1.4863 1.1970
H 2.2706 -0.7922 1.2001
H 7.0823 1.4863 4.0641
H 8.4554 2.2755 4.0675
H 4.8300 -2.2755 1.1936
H 6.2031 -1.4863 1.1970
H 11.0148 0.7922 4.0609
H 7.0823 -1.4863 4.0641
H 8.4554 -2.2755 4.0675
H 11.0148 -0.7922 4.0609
Br 4.4189 0.0000 3.5139
Br 8.8665 0.0000 1.7471
O 3.6435 1.3394 4.0924
O 1.6904 0.0000 1.1972
O 5.8052 2.3826 1.1924
O 7.4803 2.3826 4.0687
O 4.4250 0.0000 1.8742
O 3.6435 -1.3394 4.0924
O 5.9658 0.0000 4.0922
O 7.3197 0.0000 1.1688
O 9.6419 1.3394 1.1686
O 8.8605 0.0000 3.3868
O 5.8052 -2.3826 1.1924
O 7.4803 -2.3826 4.0687
O 11.5950 0.0000 4.0638
O 9.6419 -1.3394 1.1686
```

Main lines, sorted by position (2θ from 5° to 70°):
d 4.129, 2θ = 21.52°, I 1000; d 3.848, 2θ = 23.12°, I 788; d 2.819, 2θ = 31.74°, I 435; d 2.806, 2θ = 31.90°, I 201; d 1.924, 2θ = 47.25°, I 188; d 1.822, 2θ = 50.06°, I 180